(1)
# Pr2CuSn4
Computed powder diffractogram, Cu Kα, 1.54184 Å. Input: a DFT-relaxed cell (GGA-PBE, the Materials Project).
Lines closer than 0.1° are merged.

Main lines, by intensity (10° ≤ 2θ ≤ 80°):
| 2θ/deg | I_rel |
| --- | --- |
| 31.60 | 100 |
| 39.28 | 21 |
| 39.86 | 20 |
| 54.42 | 16 |
| 36.17 | 15 |
| 57.21 | 14 |
| 50.20 | 13 |
| 30.07 | 13 |
| 66.43 | 12 |
| 65.94 | 12 |

Structure:
Cell lengths 4.523, 4.587, 17.831 Å; angles 90.00, 90.00, 90.00 degrees
Space group Amm2 (No. 38)
Unique sites:
Pr  0.000  0.000  0.000 x2
Pr  0.500  0.000  0.205 x2
Cu  0.000  0.000  0.784 x2
Sn  0.000  0.000  0.362 x2
Sn  0.000  0.000  0.642 x2
Sn  0.500  0.000  0.536 x2
Sn  0.500  0.000  0.862 x2

(2)
# PrCuSn
Computed powder diffractogram, Cu Kα, 1.54184 Å. Input: a DFT-relaxed cell (GGA-PBE, the Materials Project).
Lines closer than 0.1° are merged.

Main lines, by intensity (10° ≤ 2θ ≤ 80°):
| 2θ/deg | I_rel |
| --- | --- |
| 31.78 | 100 |
| 39.28 | 55 |
| 61.60 | 29 |
| 51.38 | 26 |
| 66.53 | 24 |
| 45.45 | 12 |
| 71.20 | 10 |
| 75.34 | 8 |
| 25.04 | 6 |
| 22.38 | 5 |

Structure:
Cell lengths 4.5877, 4.5877, 7.9816 Å; angles 90.00, 90.00, 120.00 degrees
Space group P6_3/mmc (No. 194)
Unique sites:
Pr  0.0000  0.0000  0.0000 x2
Cu  0.3333  0.6667  0.2500 x2
Sn  0.3333  0.6667  0.7500 x2

(3)
# PrCuSn2
Computed powder diffractogram, Cu Kα, 1.54184 Å. Input: a DFT-relaxed cell (GGA-PBE, the Materials Project).
Lines closer than 0.1° are merged.

Main lines, by intensity (10° ≤ 2θ ≤ 80°):
| 2θ/deg | I_rel |
| --- | --- |
| 31.06 | 100 |
| 38.20 | 28 |
| 40.16 | 25 |
| 31.22 | 23 |
| 34.64 | 22 |
| 56.62 | 18 |
| 50.13 | 15 |
| 48.50 | 14 |
| 67.36 | 14 |
| 43.40 | 13 |

Structure:
Cell lengths 4.491, 18.600, 4.712 Å; angles 90.00, 90.00, 90.00 degrees
Space group Cmcm (No. 63)
Unique sites:
Pr  0.000  0.105  0.250 x4
Cu  0.000  0.324  0.250 x4
Sn  0.000  0.249  0.750 x4
Sn  0.000  0.459  0.250 x4